No. 1
Theoretical powder XRD pattern
Compound: Pm10Te3Pb3
Radiation: Cu Kα X-rays
Structure: the PBE geometry in Alexandria
Lines closer than 0.1° are merged.

Structure:
```
data_Pm10Te3Pb3
_cell_length_a 9.3405
_cell_length_b 9.3405
_cell_length_c 6.5000
_cell_angle_alpha 90.00
_cell_angle_beta 90.00
_cell_angle_gamma 120.00
_space_group_name_H-M_alt 'P -6 2 m'
_space_group_IT_number 189
_space_group_name_Hall 'P -6 -2'
loop_
_atom_site_label
_atom_site_fract_x
_atom_site_fract_y
_atom_site_fract_z
_atom_site_occupancy
Pm1 0.0000 0.2465 0.0000 1
Pm2 0.0000 0.7523 0.5000 1
Pm3 0.3333 0.6667 0.2511 1
Te1 0.0000 0.3841 0.5000 1
Pb1 0.0000 0.6105 0.0000 1
```

Most intense lines, 2θ = 15–90°, sorted by position:
| 2theta | Rel. int. |
| --- | --- |
| 27.44 | 21 |
| 29.21 | 27 |
| 32.36 | 100 |
| 33.23 | 55 |
| 33.60 | 82 |
| 47.97 | 21 |
| 51.72 | 33 |
| 64.32 | 18 |

---

No. 2
Theoretical powder XRD pattern
Compound: Na4Ca2SiAs4
Radiation: Cu Kα X-rays
Structure: the PBE geometry in Alexandria
Lines closer than 0.1° are merged.

Structure:
```
data_Na4Ca2SiAs4
_cell_length_a 9.4837
_cell_length_b 16.3334
_cell_length_c 7.1744
_cell_angle_alpha 90.00
_cell_angle_beta 92.41
_cell_angle_gamma 90.00
_space_group_name_H-M_alt 'C 1 c 1'
_space_group_IT_number 9
loop_
_space_group_symop_operation_xyz
'x,y,z'
'x,-y,z+1/2'
'x+1/2,y+1/2,z'
'x+1/2,-y+1/2,z+1/2'
loop_
_atom_site_label
_atom_site_fract_x
_atom_site_fract_y
_atom_site_fract_z
_atom_site_occupancy
Na1 0.0000 0.0735 0.0000 1
Na2 0.0746 0.4231 0.5526 1
Na3 0.0771 0.2346 0.7140 1
Na4 0.2918 0.3523 0.0278 1
Ca1 0.2833 0.0232 0.7103 1
Ca2 0.4995 0.2382 0.7153 1
Si1 0.2907 0.1660 0.3284 1
As1 0.0788 0.0955 0.4157 1
As2 0.2830 0.3040 0.4333 1
As3 0.2899 0.1622 0.9916 1
As4 0.4937 0.0935 0.4545 1
```

Most intense lines, 2θ = 15–90°, sorted by position:
| 2theta | Rel. int. |
| --- | --- |
| 24.84 | 42 |
| 25.10 | 48 |
| 25.43 | 50 |
| 32.59 | 52 |
| 33.26 | 49 |
| 33.82 | 50 |
| 37.98 | 44 |
| 38.14 | 100 |

---

No. 3
Theoretical powder XRD pattern
Compound: HfCuReOs
Radiation: Cu Kα X-rays
Structure: the PBE geometry in Alexandria
Lines closer than 0.1° are merged.

Structure:
```
data_HfCuReOs
_cell_length_a 2.9242
_cell_length_b 4.4921
_cell_length_c 4.6923
_cell_angle_alpha 90.00
_cell_angle_beta 90.00
_cell_angle_gamma 90.00
_space_group_name_H-M_alt 'P m m 2'
_space_group_IT_number 25
loop_
_space_group_symop_operation_xyz
'x,y,z'
'-x,-y,z'
'-x,y,z'
'x,-y,z'
loop_
_atom_site_label
_atom_site_fract_x
_atom_site_fract_y
_atom_site_fract_z
_atom_site_occupancy
Hf1 0.0000 0.0000 0.0000 1
Cu1 0.5000 0.5000 0.1374 1
Re1 0.0000 0.5000 0.6190 1
Os1 0.5000 0.0000 0.4878 1
```

Most intense lines, 2θ = 15–90°, sorted by position:
| 2theta | Rel. int. |
| --- | --- |
| 36.20 | 16 |
| 38.37 | 18 |
| 40.15 | 33 |
| 41.57 | 100 |
| 43.52 | 28 |
| 67.97 | 12 |
| 73.93 | 19 |
| 81.98 | 15 |

---

No. 4
Theoretical powder XRD pattern
Compound: U4Se6S
Radiation: Cu Kα X-rays
Structure: the PBE geometry in Alexandria
Lines closer than 0.1° are merged.

Structure:
```
data_U4Se6S
_cell_length_a 8.8328
_cell_length_b 8.8328
_cell_length_c 3.8250
_cell_angle_alpha 90.00
_cell_angle_beta 90.00
_cell_angle_gamma 120.00
_space_group_name_H-M_alt 'P -6 m 2'
_space_group_IT_number 187
_space_group_name_Hall 'P -6 2'
loop_
_atom_site_label
_atom_site_fract_x
_atom_site_fract_y
_atom_site_fract_z
_atom_site_occupancy
U1 0.0000 0.0000 0.0000 1
U2 0.9996 0.4998 0.5000 1
Se1 0.2076 0.4151 0.0000 1
Se2 0.2740 0.1370 0.5000 1
S1 0.6667 0.3333 0.0000 1
```

Most intense lines, 2θ = 15–90°, sorted by position:
| 2theta | Rel. int. |
| --- | --- |
| 23.26 | 100 |
| 26.05 | 34 |
| 30.93 | 54 |
| 33.12 | 55 |
| 39.05 | 82 |
| 40.87 | 62 |
| 47.55 | 54 |
| 64.45 | 51 |

---

No. 5
Theoretical powder XRD pattern
Compound: TlGa5
Radiation: Cu Kα X-rays
Structure: the PBE geometry in Alexandria
Lines closer than 0.1° are merged.

Structure:
```
data_TlGa5
_cell_length_a 7.9277
_cell_length_b 4.7162
_cell_length_c 7.0335
_cell_angle_alpha 90.00
_cell_angle_beta 90.06
_cell_angle_gamma 90.00
_space_group_name_H-M_alt 'C 1 2/m 1'
_space_group_IT_number 12
loop_
_space_group_symop_operation_xyz
'x,y,z'
'-x,-y,-z'
'-x,y,-z'
'x,-y,z'
'x+1/2,y+1/2,z'
'-x+1/2,-y+1/2,-z'
'-x+1/2,y+1/2,-z'
'x+1/2,-y+1/2,z'
loop_
_atom_site_label
_atom_site_fract_x
_atom_site_fract_y
_atom_site_fract_z
_atom_site_occupancy
Tl1 0.0000 0.0000 0.0000 1
Ga1 0.0000 0.0000 0.5000 1
Ga2 0.1683 0.5000 0.2906 1
Ga3 0.1679 0.5000 0.7013 1
```

Most intense lines, 2θ = 15–90°, sorted by position:
| 2theta | Rel. int. |
| --- | --- |
| 25.36 | 36 |
| 25.80 | 18 |
| 33.74 | 100 |
| 34.08 | 50 |
| 38.16 | 37 |
| 39.07 | 69 |
| 52.07 | 37 |
| 55.94 | 18 |

---

No. 6
Theoretical powder XRD pattern
Compound: TmAl2Zn9
Radiation: Cu Kα X-rays
Structure: the PBE geometry in Alexandria
Lines closer than 0.1° are merged.

Structure:
```
data_TmAl2Zn9
_cell_length_a 10.5387
_cell_length_b 10.5387
_cell_length_c 7.0246
_cell_angle_alpha 90.00
_cell_angle_beta 90.00
_cell_angle_gamma 90.00
_space_group_name_H-M_alt 'I 41/a m d'
_space_group_IT_number 141
loop_
_space_group_symop_operation_xyz
'x,y,z'
'-x,-y,-z'
'-y+1/4,x+3/4,z+1/4'
'y+1/4,-x+3/4,-z+1/4'
'-x+1/2,-y,z+1/2'
'x+1/2,y,-z+1/2'
'y+1/4,-x+1/4,z+3/4'
'-y+1/4,x+1/4,-z+3/4'
'x,-y,-z'
'-x,y,z'
'-y+1/4,-x+1/4,-z+3/4'
'y+1/4,x+1/4,z+3/4'
'-x+1/2,y,-z+1/2'
'x+1/2,-y,z+1/2'
'y+1/4,x+3/4,-z+1/4'
'-y+1/4,-x+3/4,z+1/4'
'x+1/2,y+1/2,z+1/2'
'-x+1/2,-y+1/2,-z+1/2'
'-y+3/4,x+1/4,z+3/4'
'y+3/4,-x+1/4,-z+3/4'
'-x,-y+1/2,z'
'x,y+1/2,-z'
'y+3/4,-x+3/4,z+1/4'
'-y+3/4,x+3/4,-z+1/4'
'x+1/2,-y+1/2,-z+1/2'
'-x+1/2,y+1/2,z+1/2'
'-y+3/4,-x+3/4,-z+1/4'
'y+3/4,x+3/4,z+1/4'
'-x,y+1/2,-z'
'x,-y+1/2,z'
'y+3/4,x+1/4,-z+3/4'
'-y+3/4,-x+1/4,z+3/4'
loop_
_atom_site_label
_atom_site_fract_x
_atom_site_fract_y
_atom_site_fract_z
_atom_site_occupancy
Tm1 0.0000 0.2500 0.3750 1
Al1 0.0000 0.0000 0.0000 1
Zn1 0.0000 0.2500 0.8750 1
Zn2 0.1202 0.0447 0.6715 1
```

Most intense lines, 2θ = 15–90°, sorted by position:
| 2theta | Rel. int. |
| --- | --- |
| 28.09 | 13 |
| 33.20 | 26 |
| 37.19 | 100 |
| 37.44 | 14 |
| 38.19 | 65 |
| 39.42 | 24 |
| 44.90 | 28 |
| 68.37 | 30 |

---

No. 7
Theoretical powder XRD pattern
Compound: Li3P2Pd3
Radiation: Cu Kα X-rays
Structure: the PBE geometry in Alexandria
Lines closer than 0.1° are merged.

Structure:
```
data_Li3P2Pd3
_cell_length_a 7.1784
_cell_length_b 14.2046
_cell_length_c 4.9547
_cell_angle_alpha 90.00
_cell_angle_beta 90.00
_cell_angle_gamma 90.00
_space_group_name_H-M_alt 'P n m a'
_space_group_IT_number 62
loop_
_space_group_symop_operation_xyz
'x,y,z'
'-x,-y,-z'
'-x+1/2,-y,z+1/2'
'x+1/2,y,-z+1/2'
'x+1/2,-y+1/2,-z+1/2'
'-x+1/2,y+1/2,z+1/2'
'-x,y+1/2,-z'
'x,-y+1/2,z'
loop_
_atom_site_label
_atom_site_fract_x
_atom_site_fract_y
_atom_site_fract_z
_atom_site_occupancy
Li1 0.0168 0.1054 0.0971 1
Li2 0.1424 0.2500 0.6410 1
P1 0.1393 0.6114 0.4144 1
Pd1 0.1594 0.0430 0.6029 1
Pd2 0.1882 0.7500 0.6339 1
```

Most intense lines, 2θ = 15–90°, sorted by position:
| 2theta | Rel. int. |
| --- | --- |
| 21.80 | 93 |
| 26.03 | 100 |
| 28.90 | 72 |
| 38.44 | 58 |
| 41.93 | 62 |
| 46.45 | 53 |
| 50.22 | 50 |
| 56.93 | 44 |

---

No. 8
Theoretical powder XRD pattern
Compound: Li2Ga4Ag
Radiation: Cu Kα X-rays
Structure: the PBE geometry in Alexandria
Lines closer than 0.1° are merged.

Structure:
```
data_Li2Ga4Ag
_cell_length_a 6.7437
_cell_length_b 6.7437
_cell_length_c 5.2019
_cell_angle_alpha 90.00
_cell_angle_beta 90.00
_cell_angle_gamma 90.00
_space_group_name_H-M_alt 'I 4/m m m'
_space_group_IT_number 139
_space_group_name_Hall '-I 4 2'
loop_
_atom_site_label
_atom_site_fract_x
_atom_site_fract_y
_atom_site_fract_z
_atom_site_occupancy
Li1 0.0000 0.5000 0.2500 1
Ga1 0.1939 0.1939 0.0000 1
Ag1 0.0000 0.0000 0.5000 1
```

Most intense lines, 2θ = 15–90°, sorted by position:
| 2theta | Rel. int. |
| --- | --- |
| 18.61 | 58 |
| 34.37 | 96 |
| 34.48 | 52 |
| 37.73 | 44 |
| 43.88 | 100 |
| 52.02 | 35 |
| 68.32 | 23 |
| 78.57 | 25 |

---

No. 9
Theoretical powder XRD pattern
Compound: Rb3Ho3GaS8
Radiation: Cu Kα X-rays
Structure: the PBE geometry in Alexandria
Lines closer than 0.1° are merged.

Structure:
```
data_Rb3Ho3GaS8
_cell_length_a 7.8811
_cell_length_b 7.8811
_cell_length_c 23.6061
_cell_angle_alpha 90.00
_cell_angle_beta 90.00
_cell_angle_gamma 120.00
_space_group_name_H-M_alt 'R -3 m'
_space_group_IT_number 166
_space_group_name_Hall '-R 3 2"'
loop_
_atom_site_label
_atom_site_fract_x
_atom_site_fract_y
_atom_site_fract_z
_atom_site_occupancy
Rb1 0.0000 0.5000 0.0000 1
Ho1 0.0000 0.5000 0.5000 1
Ga1 0.0000 0.0000 0.5000 1
S1 0.0000 0.0000 0.2306 1
S2 0.0202 0.5101 0.2267 1
```

Most intense lines, 2θ = 15–90°, sorted by position:
| 2theta | Rel. int. |
| --- | --- |
| 22.59 | 31 |
| 27.20 | 37 |
| 30.25 | 100 |
| 40.41 | 38 |
| 46.08 | 40 |
| 46.79 | 17 |
| 51.90 | 19 |
| 56.11 | 17 |